For LiFeSiO4, a cell relaxed with PBE+U gives the simulated powder diffraction line list in this record (CuKα).

Structure:
Unit cell a=10.300 b=5.137 c=13.465 alpha=90.00 beta=90.00 gamma=90.00
Atoms (fractional coordinates):
Li (0.037, 0.066, 0.000)
Li (0.211, 0.553, 0.248)
Li (0.289, 0.553, 0.748)
Li (0.463, 0.066, 0.500)
Li (0.537, 0.934, 0.000)
Li (0.711, 0.447, 0.248)
Li (0.789, 0.447, 0.748)
Li (0.963, 0.934, 0.500)
Fe (0.033, 0.918, 0.750)
Fe (0.214, 0.555, 0.996)
Fe (0.286, 0.555, 0.496)
Fe (0.467, 0.918, 0.250)
Fe (0.533, 0.082, 0.750)
Fe (0.714, 0.445, 0.996)
Fe (0.786, 0.445, 0.496)
Fe (0.967, 0.082, 0.250)
Si (0.034, 0.430, 0.622)
Si (0.216, 0.052, 0.374)
Si (0.284, 0.052, 0.874)
Si (0.466, 0.430, 0.122)
Si (0.534, 0.570, 0.622)
Si (0.716, 0.948, 0.374)
Si (0.784, 0.948, 0.874)
Si (0.966, 0.570, 0.122)
O (0.004, 0.116, 0.631)
O (0.025, 0.425, 0.221)
O (0.041, 0.452, 0.024)
O (0.060, 0.990, 0.368)
O (0.190, 0.491, 0.615)
O (0.214, 0.921, 0.776)
O (0.217, 0.920, 0.973)
O (0.242, 0.368, 0.378)
O (0.258, 0.368, 0.878)
O (0.283, 0.920, 0.473)
O (0.286, 0.921, 0.276)
O (0.310, 0.491, 0.115)
O (0.440, 0.990, 0.868)
O (0.459, 0.452, 0.524)
O (0.475, 0.425, 0.721)
O (0.496, 0.116, 0.131)
O (0.504, 0.884, 0.631)
O (0.525, 0.575, 0.221)
O (0.541, 0.548, 0.024)
O (0.560, 0.010, 0.368)
O (0.690, 0.509, 0.615)
O (0.714, 0.079, 0.776)
O (0.717, 0.080, 0.973)
O (0.742, 0.632, 0.378)
O (0.758, 0.632, 0.878)
O (0.783, 0.080, 0.473)
O (0.786, 0.079, 0.276)
O (0.810, 0.509, 0.115)
O (0.940, 0.010, 0.868)
O (0.959, 0.548, 0.524)
O (0.975, 0.575, 0.721)
O (0.996, 0.884, 0.131)

Peak list (12 most intense, 15° ≤ 2θ ≤ 90°, in order of rising 2θ)
d_spacing, Position (°2θ), I (rel.)
4.087, 21.74, 100
3.637, 24.48, 5
3.384, 26.34, 9
3.211, 27.78, 8
2.826, 31.67, 8
2.716, 32.98, 7
2.572, 34.89, 32
2.470, 36.37, 6
2.177, 41.48, 11
2.057, 44.02, 7
1.683, 54.51, 7
1.408, 66.38, 5